1.
# LiHfTl
Computed powder X-ray diffraction pattern, λ = 1.5418 Å (Cu Kα). Input: a GGA-PBE-relaxed structure.
Kinematic intensities with the Lorentz-polarization factor, no thermal factor.

Most intense lines, 10° ≤ 2θ ≤ 80°, by angle:
11.5°, d = 7.726 Å, rel. 256; 17.3°, d = 5.135 Å, rel. 383; 20.8°, d = 4.276 Å, rel. 187; 32.6°, d = 2.749 Å, rel. 275; 34.8°, d = 2.575 Å, rel. 187; 34.9°, d = 2.567 Å, rel. 340; 37.1°, d = 2.424 Å, rel. 1000; 39.1°, d = 2.302 Å, rel. 322; 48.5°, d = 1.876 Å, rel. 183; 64.1°, d = 1.453 Å, rel. 207

Structural model:
Lattice parameters (Å, degrees): 5.1346 7.8955 7.8955 23.76 90.00 90.00
Element x y z (fractional)
Li  0.0000  0.0000  0.0000
Li  0.0000  0.3350  0.3350
Hf  0.5000  0.1955  0.1955
Hf  0.5000  0.5341  0.5341
Tl  0.0000  0.6537  0.6537
Tl  0.5000  0.8679  0.8679

2.
# Sc4Tc3
Computed powder X-ray diffraction pattern, λ = 1.5418 Å (Cu Kα). Input: a GGA-PBE-relaxed structure.
Kinematic intensities with the Lorentz-polarization factor, no thermal factor.

Most intense lines, 10° ≤ 2θ ≤ 80°, by angle:
13.4°, d = 6.630 Å, rel. 675; 36.8°, d = 2.440 Å, rel. 1000; 40.0°, d = 2.256 Å, rel. 485; 42.3°, d = 2.135 Å, rel. 153; 47.3°, d = 1.923 Å, rel. 299; 57.8°, d = 1.595 Å, rel. 155; 64.2°, d = 1.451 Å, rel. 92; 70.5°, d = 1.335 Å, rel. 276; 77.4°, d = 1.234 Å, rel. 104; 77.8°, d = 1.228 Å, rel. 130

Structural model:
Lattice parameters (Å, degrees): 13.4506 13.4506 13.4506 166.38 166.38 19.31
Element x y z (fractional)
Sc  0.0585  0.0585  0.0000
Sc  0.3421  0.3421  0.0000
Sc  0.6579  0.6579  0.0000
Sc  0.9415  0.9415  0.0000
Tc  0.2229  0.2229  0.0000
Tc  0.5000  0.5000  0.0000
Tc  0.7771  0.7771  0.0000

3.
# Ce2NbC3
Computed powder X-ray diffraction pattern, λ = 1.5418 Å (Cu Kα). Input: a GGA-PBE-relaxed structure.
Kinematic intensities with the Lorentz-polarization factor, no thermal factor.

Most intense lines, 10° ≤ 2θ ≤ 80°, by angle:
27.2°, d = 3.277 Å, rel. 204; 29.3°, d = 3.049 Å, rel. 1000; 31.0°, d = 2.887 Å, rel. 467; 39.5°, d = 2.284 Å, rel. 545; 40.4°, d = 2.233 Å, rel. 226; 41.9°, d = 2.156 Å, rel. 435; 58.9°, d = 1.568 Å, rel. 168; 63.7°, d = 1.462 Å, rel. 223; 64.5°, d = 1.445 Å, rel. 192; 71.6°, d = 1.318 Å, rel. 173

Structural model:
Lattice parameters (Å, degrees): 9.2952 9.2952 6.0991 90.00 90.00 159.35
Element x y z (fractional)
Ce  0.0090  0.9910  0.7500
Ce  0.1610  0.8390  0.2500
Ce  0.8390  0.1610  0.7500
Ce  0.9910  0.0090  0.2500
Nb  0.3394  0.6606  0.2500
Nb  0.6606  0.3394  0.7500
C  0.2305  0.7695  0.7500
C  0.4139  0.5861  0.5048
C  0.4139  0.5861  0.9952
C  0.5861  0.4139  0.0048
C  0.5861  0.4139  0.4952
C  0.7695  0.2305  0.2500

4.
# BiB3Pt9
Computed powder X-ray diffraction pattern, λ = 1.5418 Å (Cu Kα). Input: a GGA-PBE-relaxed structure.
Kinematic intensities with the Lorentz-polarization factor, no thermal factor.

Most intense lines, 10° ≤ 2θ ≤ 80°, by angle:
25.3°, d = 3.527 Å, rel. 181; 34.3°, d = 2.614 Å, rel. 1000; 34.8°, d = 2.578 Å, rel. 526; 35.4°, d = 2.533 Å, rel. 195; 40.3°, d = 2.241 Å, rel. 192; 41.7°, d = 2.167 Å, rel. 175; 41.8°, d = 2.163 Å, rel. 257; 45.9°, d = 1.975 Å, rel. 239; 47.0°, d = 1.932 Å, rel. 312; 77.0°, d = 1.238 Å, rel. 195

Structural model:
Lattice parameters (Å, degrees): 7.7279 7.7279 4.1242 90.67 90.67 60.44
Element x y z (fractional)
Bi  0.0000  0.0000  0.0000
B  0.0162  0.4943  0.4606
B  0.4943  0.0162  0.4606
B  0.5266  0.5266  0.2828
Pt  0.2065  0.5902  0.2586
Pt  0.2108  0.2108  0.2431
Pt  0.3631  0.8244  0.4553
Pt  0.4829  0.4829  0.7948
Pt  0.5502  0.9114  0.9370
Pt  0.5902  0.2065  0.2586
Pt  0.8244  0.3631  0.4553
Pt  0.8264  0.8264  0.4770
Pt  0.9114  0.5502  0.9370

5.
# SmDy5Ga6
Computed powder X-ray diffraction pattern, λ = 1.5418 Å (Cu Kα). Input: a GGA-PBE-relaxed structure.
Kinematic intensities with the Lorentz-polarization factor, no thermal factor.

Most intense lines, 10° ≤ 2θ ≤ 80°, by angle:
24.9°, d = 3.582 Å, rel. 165; 35.4°, d = 2.533 Å, rel. 1000; 43.8°, d = 2.068 Å, rel. 50; 51.0°, d = 1.791 Å, rel. 177; 57.5°, d = 1.602 Å, rel. 69; 63.6°, d = 1.462 Å, rel. 360; 75.0°, d = 1.266 Å, rel. 111

Structural model:
Lattice parameters (Å, degrees): 8.0124 8.0124 7.1599 90.00 90.00 143.15
Element x y z (fractional)
Sm  0.0000  0.0000  0.0000
Dy  0.0000  0.0000  0.5000
Dy  0.3328  0.6672  0.0000
Dy  0.3349  0.6651  0.5000
Dy  0.6651  0.3349  0.5000
Dy  0.6672  0.3328  0.0000
Ga  0.1685  0.8315  0.2530
Ga  0.1685  0.8315  0.7470
Ga  0.5000  0.5000  0.2524
Ga  0.5000  0.5000  0.7476
Ga  0.8315  0.1685  0.2530
Ga  0.8315  0.1685  0.7470

6.
# Rb3Cr2Br7
Computed powder X-ray diffraction pattern, λ = 1.5418 Å (Cu Kα). Input: a GGA-PBE-relaxed structure.
Kinematic intensities with the Lorentz-polarization factor, no thermal factor.

Most intense lines, 10° ≤ 2θ ≤ 80°, by angle:
28.7°, d = 3.114 Å, rel. 1000; 32.4°, d = 2.762 Å, rel. 229; 33.3°, d = 2.690 Å, rel. 323; 33.9°, d = 2.643 Å, rel. 314; 47.2°, d = 1.927 Å, rel. 155; 47.6°, d = 1.910 Å, rel. 150; 48.3°, d = 1.885 Å, rel. 219; 56.7°, d = 1.623 Å, rel. 143; 57.5°, d = 1.603 Å, rel. 137; 59.4°, d = 1.557 Å, rel. 159

Structural model:
Lattice parameters (Å, degrees): 14.0702 14.0702 5.2865 90.00 90.00 157.96
Element x y z (fractional)
Rb  0.0000  0.0000  0.0000
Rb  0.1788  0.8212  0.0000
Rb  0.8212  0.1788  0.0000
Cr  0.4030  0.5970  0.5000
Cr  0.5970  0.4030  0.5000
Br  0.0942  0.9058  0.5000
Br  0.3088  0.6912  0.5000
Br  0.4052  0.5948  0.0000
Br  0.5000  0.5000  0.5000
Br  0.5948  0.4052  0.0000
Br  0.6912  0.3088  0.5000
Br  0.9058  0.0942  0.5000

7.
# KP4H7
Computed powder X-ray diffraction pattern, λ = 1.5418 Å (Cu Kα). Input: a GGA-PBE-relaxed structure.
Kinematic intensities with the Lorentz-polarization factor, no thermal factor.

Most intense lines, 10° ≤ 2θ ≤ 80°, by angle:
12.1°, d = 7.334 Å, rel. 638; 19.5°, d = 4.562 Å, rel. 904; 21.1°, d = 4.207 Å, rel. 766; 21.8°, d = 4.079 Å, rel. 651; 21.9°, d = 4.060 Å, rel. 319; 29.0°, d = 3.078 Å, rel. 1000; 29.7°, d = 3.006 Å, rel. 349; 30.8°, d = 2.900 Å, rel. 306; 31.9°, d = 2.804 Å, rel. 370; 37.6°, d = 2.395 Å, rel. 309

Structural model:
Lattice parameters (Å, degrees): 6.0219 6.0542 7.3912 83.34 89.02 61.64
Element x y z (fractional)
K  0.0000  0.0000  0.0000
P  0.1735  0.2854  0.6357
P  0.4550  0.3712  0.7589
P  0.5264  0.6755  0.2559
P  0.7987  0.5917  0.0432
H  0.0273  0.4512  0.1569
H  0.2880  0.2433  0.4635
H  0.3257  0.4293  0.9251
H  0.3608  0.6302  0.6855
H  0.5959  0.4398  0.3672
H  0.6102  0.7725  0.3926
H  0.9784  0.5336  0.5740

8.
# Ce7HgIr4
Computed powder X-ray diffraction pattern, λ = 1.5418 Å (Cu Kα). Input: a GGA-PBE-relaxed structure.
Kinematic intensities with the Lorentz-polarization factor, no thermal factor.

Most intense lines, 10° ≤ 2θ ≤ 80°, by angle:
31.0°, d = 2.889 Å, rel. 517; 31.5°, d = 2.844 Å, rel. 1000; 32.5°, d = 2.758 Å, rel. 522; 36.5°, d = 2.460 Å, rel. 614; 38.7°, d = 2.328 Å, rel. 230; 39.0°, d = 2.311 Å, rel. 334; 39.7°, d = 2.272 Å, rel. 369; 44.7°, d = 2.026 Å, rel. 544; 50.7°, d = 1.801 Å, rel. 220; 65.7°, d = 1.421 Å, rel. 171

Structural model:
Lattice parameters (Å, degrees): 7.1924 7.1924 9.6224 122.01 122.01 46.58
Element x y z (fractional)
Ce  0.0000  0.0000  0.0000
Ce  0.1791  0.1791  0.6224
Ce  0.3072  0.3072  0.1197
Ce  0.4275  0.4275  0.6225
Ce  0.5725  0.5725  0.3775
Ce  0.6928  0.6928  0.8803
Ce  0.8209  0.8209  0.3776
Hg  0.5000  0.5000  0.0000
Ir  0.0650  0.0650  0.7729
Ir  0.2025  0.2025  0.3300
Ir  0.7975  0.7975  0.6700
Ir  0.9350  0.9350  0.2271

9.
# K3SiF6
Computed powder X-ray diffraction pattern, λ = 1.5418 Å (Cu Kα). Input: a GGA-PBE-relaxed structure.
Kinematic intensities with the Lorentz-polarization factor, no thermal factor.

Most intense lines, 10° ≤ 2θ ≤ 80°, by angle:
17.0°, d = 5.203 Å, rel. 264; 25.7°, d = 3.468 Å, rel. 680; 27.4°, d = 3.255 Å, rel. 1000; 30.7°, d = 2.910 Å, rel. 162; 37.3°, d = 2.409 Å, rel. 155; 41.8°, d = 2.163 Å, rel. 245; 44.1°, d = 2.055 Å, rel. 308; 50.7°, d = 1.802 Å, rel. 216; 52.8°, d = 1.735 Å, rel. 210; 56.5°, d = 1.628 Å, rel. 169

Structural model:
Lattice parameters (Å, degrees): 7.2372 7.0089 5.8474 67.82 63.74 48.43
Element x y z (fractional)
K  0.0000  0.0000  0.0000
K  0.2500  0.2500  0.2500
K  0.7500  0.7500  0.7500
Si  0.5000  0.5000  0.5000
F  0.2372  0.5523  0.7628
F  0.3011  0.6989  0.3011
F  0.4477  0.7628  0.5523
F  0.5523  0.2372  0.4477
F  0.6989  0.3011  0.6989
F  0.7628  0.4477  0.2372

10.
# Pa5Pt6
Computed powder X-ray diffraction pattern, λ = 1.5418 Å (Cu Kα). Input: a GGA-PBE-relaxed structure.
Kinematic intensities with the Lorentz-polarization factor, no thermal factor.

Most intense lines, 10° ≤ 2θ ≤ 80°, by angle:
29.2°, d = 3.058 Å, rel. 216; 33.0°, d = 2.717 Å, rel. 1000; 33.6°, d = 2.670 Å, rel. 210; 35.2°, d = 2.548 Å, rel. 126; 38.0°, d = 2.368 Å, rel. 164; 38.6°, d = 2.334 Å, rel. 263; 41.6°, d = 2.169 Å, rel. 420; 42.0°, d = 2.149 Å, rel. 302; 48.8°, d = 1.867 Å, rel. 198; 66.3°, d = 1.409 Å, rel. 160

Structural model:
Lattice parameters (Å, degrees): 15.4391 15.4391 3.7330 90.00 90.00 163.99
Element x y z (fractional)
Pa  0.0000  0.0000  0.0000
Pa  0.1985  0.8015  0.5000
Pa  0.3847  0.6153  0.0000
Pa  0.6153  0.3847  0.0000
Pa  0.8015  0.1985  0.5000
Pt  0.1045  0.8955  0.5000
Pt  0.2843  0.7157  0.0000
Pt  0.4566  0.5434  0.5000
Pt  0.5434  0.4566  0.5000
Pt  0.7157  0.2843  0.0000
Pt  0.8955  0.1045  0.5000

11.
# CuP10
Computed powder X-ray diffraction pattern, λ = 1.5418 Å (Cu Kα). Input: a GGA-PBE-relaxed structure.
Kinematic intensities with the Lorentz-polarization factor, no thermal factor.

Most intense lines, 10° ≤ 2θ ≤ 80°, by angle:
13.8°, d = 6.429 Å, rel. 862; 14.6°, d = 6.084 Å, rel. 359; 16.8°, d = 5.291 Å, rel. 516; 27.5°, d = 3.243 Å, rel. 767; 27.8°, d = 3.215 Å, rel. 807; 30.1°, d = 2.964 Å, rel. 412; 31.4°, d = 2.845 Å, rel. 1000; 32.3°, d = 2.771 Å, rel. 332; 32.9°, d = 2.721 Å, rel. 742; 58.6°, d = 1.575 Å, rel. 311

Structural model:
Lattice parameters (Å, degrees): 7.2621 12.2905 12.8439 62.72 82.29 82.11
Element x y z (fractional)
Cu  0.2310  0.1174  0.4624
Cu  0.2322  0.8189  0.7488
Cu  0.7678  0.1811  0.2512
Cu  0.7690  0.8826  0.5376
P  0.0700  0.3403  0.9338
P  0.0701  0.5634  0.7042
P  0.0698  0.8427  0.4747
P  0.0714  0.1178  0.2124
P  0.1666  0.9149  0.2830
P  0.1721  0.1458  0.0301
P  0.1730  0.6480  0.5168
P  0.1824  0.3709  0.7546
P  0.2567  0.2103  0.2586
P  0.2598  0.9072  0.5475
P  0.2615  0.4427  0.9733
P  0.2671  0.6133  0.7919
P  0.4648  0.4321  0.2935
P  0.4708  0.6536  0.0623
P  0.4767  0.9165  0.2831
P  0.4844  0.1498  0.0301
P  0.4840  0.1560  0.5252
P  0.4846  0.6488  0.5189
P  0.4906  0.8805  0.7869
P  0.4995  0.3740  0.7579
P  0.5005  0.6260  0.2421
P  0.5094  0.1195  0.2131
P  0.5154  0.3512  0.4811
P  0.5160  0.8440  0.4748
P  0.5156  0.8502  0.9699
P  0.5233  0.0835  0.7169
P  0.5292  0.3464  0.9377
P  0.5352  0.5679  0.7065
P  0.7329  0.3867  0.2082
P  0.7385  0.5573  0.0267
P  0.7402  0.0928  0.4525
P  0.7433  0.7897  0.7414
P  0.8176  0.6291  0.2454
P  0.8270  0.3520  0.4832
P  0.8279  0.8542  0.9699
P  0.8334  0.0851  0.7170
P  0.9286  0.8822  0.7876
P  0.9302  0.1573  0.5253
P  0.9299  0.4366  0.2958
P  0.9300  0.6597  0.0662

12.
# In3SeF7
Computed powder X-ray diffraction pattern, λ = 1.5418 Å (Cu Kα). Input: a GGA-PBE-relaxed structure.
Kinematic intensities with the Lorentz-polarization factor, no thermal factor.

Most intense lines, 10° ≤ 2θ ≤ 80°, by angle:
14.7°, d = 6.019 Å, rel. 717; 15.6°, d = 5.686 Å, rel. 1000; 21.5°, d = 4.133 Å, rel. 261; 29.7°, d = 3.009 Å, rel. 258; 30.1°, d = 2.965 Å, rel. 213; 33.7°, d = 2.660 Å, rel. 843; 43.8°, d = 2.067 Å, rel. 501; 52.7°, d = 1.737 Å, rel. 228; 55.3°, d = 1.662 Å, rel. 194; 57.5°, d = 1.603 Å, rel. 213

Structural model:
Lattice parameters (Å, degrees): 6.9497 6.9497 5.6861 90.00 90.00 120.00
Element x y z (fractional)
In  0.0089  0.5044  0.0000
In  0.4956  0.5044  0.0000
In  0.4956  0.9911  0.0000
Se  0.3333  0.6667  0.3071
F  0.1908  0.3816  0.7990
F  0.1908  0.8092  0.7990
F  0.3696  0.1848  0.1509
F  0.6184  0.8092  0.7990
F  0.6667  0.3333  0.8077
F  0.8152  0.1848  0.1509
F  0.8152  0.6304  0.1509